Entry 1:
# SrNdCoRuO6
Calculated powder diffraction line list, copper Kα. Input: a DFT-relaxed cell (PBE+U, the Materials Project).

Most intense lines, 2θ = 10–90°, by angle:
31.89 deg, intensity 95, (0 2 2); 32.04 deg, intensity 93, (2 2 -2); 32.43 deg, intensity 100, (2 0 0); 39.61 deg, intensity 16, (2 2 -4); 45.15 deg, intensity 28, (0 4 0); 46.30 deg, intensity 28, (0 0 4); 46.72 deg, intensity 30, (4 0 -4); 56.68 deg, intensity 39, (2 4 -4); 57.42 deg, intensity 40, (2 2 -6); 57.69 deg, intensity 40, (4 2 -2)

Structural model:
a = 7.7761 Å, b = 8.0328 Å, c = 11.0366 Å
α = 90.00°, β = 134.71°, γ = 90.00°
Space group P2/c (No. 13)
Asymmetric unit:
Sr: 0.0000 0.2264 0.2500 [2 per cell]
Sr: 0.5000 0.2502 0.2500 [2 per cell]
Nd: 0.0000 0.2760 0.7500 [2 per cell]
Nd: 0.5000 0.2460 0.7500 [2 per cell]
Co: 0.0000 0.5000 0.0000 [2 per cell]
Co: 0.5000 0.0000 0.0000 [2 per cell]
Ru: 0.0000 0.0000 0.0000 [2 per cell]
Ru: 0.5000 0.5000 0.0000 [2 per cell]
O: 0.0490 0.2418 0.0238 [4 per cell]
O: 0.1939 0.0385 0.7447 [4 per cell]
O: 0.2033 0.4807 0.4506 [4 per cell]
O: 0.2920 0.4618 0.7503 [4 per cell]
O: 0.2981 0.0337 0.5478 [4 per cell]
O: 0.4830 0.2563 0.0127 [4 per cell]



Entry 2:
# NiTeP2O8
Calculated powder diffraction line list, copper Kα. Input: a DFT-relaxed cell (PBE+U, the Materials Project).

Most intense lines, 2θ = 10–90°, by angle:
16.29 deg, intensity 28, (0 1 -2); 18.08 deg, intensity 74, (0 2 0); 21.53 deg, intensity 30, (1 -1 0); 24.10 deg, intensity 69, (1 1 2); 24.65 deg, intensity 26, (1 2 0); 25.52 deg, intensity 54, (1 -1 2); 27.28 deg, intensity 100, (0 0 4); 30.66 deg, intensity 36, (-1 2 2); 34.46 deg, intensity 51, (1 3 2); 37.51 deg, intensity 20, (1 -3 2)

Structural model:
a = 4.7968 Å, b = 9.8653 Å, c = 13.0738 Å
α = 89.92°, β = 89.83°, γ = 84.11°
Space group P1 (No. 1)
Asymmetric unit:
Ni: 0.0000 0.0000 0.0000 [1 per cell]
Ni: 0.0003 0.0002 0.4993 [1 per cell]
Ni: 0.1393 0.5325 0.2482 [1 per cell]
Ni: 0.1390 0.5323 0.7487 [1 per cell]
Te: 0.4972 0.0651 0.2493 [1 per cell]
Te: 0.4967 0.0648 0.7492 [1 per cell]
Te: 0.6426 0.4675 0.9983 [1 per cell]
Te: 0.6429 0.4678 0.4984 [1 per cell]
P: 0.1763 0.6685 0.9987 [1 per cell]
P: 0.1769 0.6686 0.4986 [1 per cell]
P: 0.4133 0.1758 0.9984 [1 per cell]
P: 0.4137 0.1759 0.4984 [1 per cell]
P: 0.7264 0.3568 0.2488 [1 per cell]
P: 0.7259 0.3566 0.7488 [1 per cell]
P: 0.9634 0.8641 0.2484 [1 per cell]
P: 0.9628 0.8639 0.7484 [1 per cell]
O: 0.2061 0.8184 0.4983 [1 per cell]
O: 0.2058 0.8182 0.9985 [1 per cell]
O: 0.2745 0.8910 0.7491 [1 per cell]
O: 0.2752 0.8911 0.2491 [1 per cell]
O: 0.2868 0.1001 0.0902 [1 per cell]
O: 0.2872 0.0999 0.5901 [1 per cell]
O: 0.2901 0.1000 0.4060 [1 per cell]
O: 0.2896 0.0998 0.9062 [1 per cell]
O: 0.3089 0.3305 0.4981 [1 per cell]
O: 0.3086 0.3304 0.9979 [1 per cell]
O: 0.3448 0.5890 0.0903 [1 per cell]
O: 0.3454 0.5893 0.5902 [1 per cell]
O: 0.3465 0.5891 0.9072 [1 per cell]
O: 0.3471 0.5893 0.4071 [1 per cell]
O: 0.4057 0.3674 0.7488 [1 per cell]
O: 0.4062 0.3675 0.2488 [1 per cell]
O: 0.7339 0.1652 0.4985 [1 per cell]
O: 0.7335 0.1651 0.9986 [1 per cell]
O: 0.7919 0.9432 0.8399 [1 per cell]
O: 0.7926 0.9434 0.3398 [1 per cell]
O: 0.7949 0.9432 0.6568 [1 per cell]
O: 0.7956 0.9435 0.1568 [1 per cell]
O: 0.8312 0.2022 0.2495 [1 per cell]
O: 0.8307 0.2021 0.7493 [1 per cell]
O: 0.8500 0.4326 0.8410 [1 per cell]
O: 0.8506 0.4328 0.3409 [1 per cell]
O: 0.8525 0.4323 0.1568 [1 per cell]
O: 0.8520 0.4325 0.6569 [1 per cell]
O: 0.8646 0.6415 0.9984 [1 per cell]
O: 0.8652 0.6415 0.4984 [1 per cell]
O: 0.9335 0.7141 0.7487 [1 per cell]
O: 0.9339 0.7143 0.2486 [1 per cell]



Entry 3:
# MgCo6O8F4
Calculated powder diffraction line list, copper Kα. Input: a DFT-relaxed cell (PBE+U, the Materials Project).

Most intense lines, 2θ = 10–90°, by angle:
23.32 deg, intensity 100, (1 1 1); 28.60 deg, intensity 77, (-1 1 1); 35.60 deg, intensity 26, (1 1 -2); 35.91 deg, intensity 26, (1 -1 2); 36.07 deg, intensity 40, (0 2 -1); 36.61 deg, intensity 15, (2 0 0); 37.79 deg, intensity 19, (2 1 1); 50.03 deg, intensity 15, (1 3 0); 56.04 deg, intensity 15, (1 -3 0); 63.69 deg, intensity 19, (0 2 -4)

Structural model:
a = 5.0088 Å, b = 5.6635 Å, c = 7.6000 Å
α = 81.34°, β = 83.14°, γ = 79.95°
Space group P1 (No. 1)
Asymmetric unit:
Mg: 0.0000 0.0000 0.0000 [1 per cell]
Co: 0.4826 0.1794 0.8240 [1 per cell]
Co: 0.5224 0.8770 0.1900 [1 per cell]
Co: 0.5371 0.5508 0.5216 [1 per cell]
Co: 0.9554 0.6470 0.8112 [1 per cell]
Co: 0.9568 0.9991 0.4858 [1 per cell]
Co: 0.9916 0.3592 0.1860 [1 per cell]
O: 0.2979 0.4802 0.7251 [1 per cell]
O: 0.2985 0.1481 0.0646 [1 per cell]
O: 0.3080 0.8133 0.4134 [1 per cell]
O: 0.6786 0.8782 0.9348 [1 per cell]
O: 0.6807 0.2248 0.5975 [1 per cell]
O: 0.6867 0.5664 0.2848 [1 per cell]
O: 0.7906 0.7222 0.5972 [1 per cell]
O: 0.8264 0.0513 0.2539 [1 per cell]
F: 0.1409 0.6471 0.0508 [1 per cell]
F: 0.1563 0.2866 0.4115 [1 per cell]
F: 0.1566 0.9821 0.7500 [1 per cell]
F: 0.8072 0.3477 0.9376 [1 per cell]